Starting from a GGA-PBE-relaxed structure, the PXRD pattern of Hg5H2Au was calculated for Cu Kα (weighted mean of Kα1 and Kα2).
Lines closer than 0.1° are merged.

Principal peaks in the range 2θ = 15–90°, in order of falling intensity:
2θ/deg	I/Imax	(hkl)
38.56	1000	0 2 1
36.29	993	1 -2 1
32.69	966	1 0 2
28.05	877	0 1 -2
27.87	874	-1 1 1
25.22	663	1 1 0
35.43	623	2 0 0
43.36	558	1 0 -3
26.36	469	1 1 -1
38.76	422	1 2 -1

Structure:
abc: 5.0923 5.5533 6.8896
angles: 102.40 91.66 94.98
Space group P-1 (No. 2)
Symmetry-distinct sites (fractional):
Hg 0.0000 0.0000 0.0000 x1
Hg 0.1140 0.7665 0.4160 x2
Hg 0.4891 0.3816 0.1674 x2
H 0.4189 0.7486 0.6324 x2
Au 0.0000 0.5000 0.0000 x1



Starting from a GGA-PBE-relaxed structure, the PXRD pattern of Pm3Si9Rh2 was calculated for Cu Kα (weighted mean of Kα1 and Kα2).
Lines closer than 0.1° are merged.

Principal peaks in the range 2θ = 15–90°, in order of falling intensity:
2θ/deg	I/Imax	(hkl)
36.43	1000	1 2 3
23.17	308	1 1 0
34.32	259	1 3 0
35.39	246	0 3 3
24.69	244	0 1 3
43.61	222	2 0 0
35.59	201	0 4 0
64.47	168	1 6 3
75.36	150	0 8 0
23.38	129	0 2 2

Structure:
abc: 4.1508 10.0891 11.5844
angles: 90.00 90.00 90.00
Space group Immm (No. 71)
Symmetry-distinct sites (fractional):
Pm 0.0000 0.0000 0.0000 x2
Pm 0.0000 0.0000 0.3198 x4
Si 0.0000 0.2747 0.1289 x8
Si 0.0000 0.3720 0.3306 x8
Si 0.0000 0.5000 0.0000 x2
Rh 0.0000 0.2364 0.5000 x4



Starting from a GGA-PBE-relaxed structure, the PXRD pattern of KRb2Cd2Cl7 was calculated for Cu Kα (weighted mean of Kα1 and Kα2).
Lines closer than 0.1° are merged.

Principal peaks in the range 2θ = 15–90°, in order of falling intensity:
2θ/deg	I/Imax	(hkl)
23.76	1000	1 1 0
33.91	557	2 0 0
48.53	242	2 0 10
41.80	239	2 1 5
17.10	226	1 0 1
34.75	212	1 0 9
33.67	186	0 0 10
48.72	185	2 2 0
49.34	152	2 1 9
54.90	146	3 1 0

Structure:
abc: 5.2869 5.2869 26.6210
angles: 90.00 90.00 90.00
Space group I4/mmm (No. 139)
Symmetry-distinct sites (fractional):
K 0.0000 0.0000 0.0000 x2
Rb 0.0000 0.0000 0.1798 x4
Cd 0.0000 0.0000 0.4005 x4
Cl 0.0000 0.0000 0.3035 x4
Cl 0.0000 0.0000 0.5000 x2
Cl 0.0000 0.5000 0.0944 x8



Starting from a GGA-PBE-relaxed structure, the PXRD pattern of Na4Pu3F12 was calculated for Cu Kα (weighted mean of Kα1 and Kα2).
Lines closer than 0.1° are merged.

Principal peaks in the range 2θ = 15–90°, in order of falling intensity:
2θ/deg	I/Imax	(hkl)
29.60	1000	2 2 0
20.81	711	2 0 0
52.52	560	4 2 2
36.46	381	2 2 2
47.65	350	4 2 0
42.36	293	4 0 0
85.04	265	6 4 2
25.56	253	2 1 1
65.63	206	6 0 0
69.67	197	6 0 2

Structure:
abc: 8.5357 8.5357 8.5357
angles: 90.00 90.00 90.00
Space group Im-3 (No. 204)
Symmetry-distinct sites (fractional):
Na 0.2500 0.2500 0.2500 x8
Pu 0.0000 0.0000 0.5000 x6
F 0.0000 0.3315 0.2159 x24